1.
# Sr3Zn2Ag3
Theoretical powder diffraction line list, Cu Ka. Input: a crystal structure in Alexandria, relaxed with PBE.

Most intense lines, 2θ from 10° to 90°, in order of falling intensity:
d 2.951, I 100; d 2.921, I 65; d 2.369, I 57; d 2.384, I 52; d 2.595, I 41; d 2.520, I 29; d 2.861, I 28; d 2.663, I 27; d 2.789, I 25; d 1.407, I 20; d 2.176, I 19; d 1.501, I 18

Cell: 6.192 6.192 15.978 Å, 90.00 90.00 135.01°
Fractional positions:
Sr 0.093 0.907 0.604
Sr 0.093 0.907 0.896
Sr 0.379 0.621 0.750
Sr 0.621 0.379 0.250
Sr 0.907 0.093 0.104
Sr 0.907 0.093 0.396
Zn 0.204 0.796 0.097
Zn 0.204 0.796 0.403
Zn 0.796 0.204 0.597
Zn 0.796 0.204 0.903
Ag 0.321 0.679 0.250
Ag 0.381 0.619 0.539
Ag 0.381 0.619 0.961
Ag 0.619 0.381 0.039
Ag 0.619 0.381 0.461
Ag 0.679 0.321 0.750

---

2.
# Zr2Co4P3
Theoretical powder diffraction line list, Cu Ka. Input: a crystal structure in Alexandria, relaxed with PBE.

Most intense lines, 2θ from 10° to 90°, in order of falling intensity:
d 2.335, I 100; d 2.280, I 32; d 1.834, I 23; d 1.748, I 19; d 2.289, I 13; d 1.266, I 13; d 1.884, I 10; d 1.942, I 9; d 1.134, I 9; d 3.028, I 9; d 1.821, I 9; d 2.531, I 8

Cell: 12.112 12.112 3.669 Å, 90.00 90.00 120.00°
Fractional positions:
Zr 0.000 0.177 0.000
Zr 0.000 0.556 0.500
Zr 0.177 0.000 0.000
Zr 0.333 0.667 0.500
Zr 0.444 0.444 0.500
Zr 0.556 0.000 0.500
Zr 0.667 0.333 0.500
Zr 0.823 0.823 0.000
Co 0.000 0.000 0.500
Co 0.000 0.723 0.000
Co 0.126 0.481 0.000
Co 0.179 0.807 0.500
Co 0.193 0.372 0.500
Co 0.277 0.277 0.000
Co 0.355 0.874 0.000
Co 0.372 0.193 0.500
Co 0.481 0.126 0.000
Co 0.519 0.645 0.000
Co 0.628 0.821 0.500
Co 0.645 0.519 0.000
Co 0.723 0.000 0.000
Co 0.807 0.179 0.500
Co 0.821 0.628 0.500
Co 0.874 0.355 0.000
P 0.000 0.346 0.500
P 0.000 0.824 0.500
P 0.174 0.692 0.000
P 0.176 0.176 0.500
P 0.308 0.481 0.000
P 0.346 0.000 0.500
P 0.481 0.308 0.000
P 0.519 0.826 0.000
P 0.654 0.654 0.500
P 0.692 0.174 0.000
P 0.824 0.000 0.500
P 0.826 0.519 0.000